Structure and simulated powder XRD pattern of Er2Cu15Pt2 (a cell relaxed with GGA-PBE; λ = 1.5418 Å (Cu Kα)).
Peak positions follow from Bragg's law for the DFT cell and can differ from measured ones.

Main lines, in order of rising 2θ (10° ≤ 2θ ≤ 90°):
Position (°2θ)  intensity
20.6  427
36.1  835
37.6  576
41.9  1000
42.3  725
43.2  429

Cell and atoms:
a = 8.6228 Å, b = 8.6228 Å, c = 12.4854 Å
α = 90.00°, β = 90.00°, γ = 120.00°
Space group R-3m (No. 166, hexagonal axes)
Inequivalent atoms, fractional coordinates:
Er1 0.0000 0.0000 0.1633 [6 per cell]
Cu1 0.0000 0.2971 0.5000 [18 per cell]
Cu2 0.0000 0.5000 0.0000 [9 per cell]
Cu3 0.0052 0.5026 0.6511 [18 per cell]
Pt1 0.0000 0.0000 0.3913 [6 per cell]